The following is a simulated XRD peak list of PuNpSb. It was derived from DFT lattice parameters and positions (PBE), using Cu Kα (λ = 1.5418 Å).

Top 10 peaks for 2θ from 10° to 80°, sorted by position:
- d 3.704, 2θ 24.03, I = 12
- d 2.847, 2θ 31.42, I = 73
- d 2.480, 2θ 36.22, I = 100
- d 2.013, 2θ 45.03, I = 28
- d 1.563, 2θ 59.11, I = 50
- d 1.424, 2θ 65.58, I = 9
- d 1.378, 2θ 68.06, I = 16
- d 1.273, 2θ 74.53, I = 13
- d 1.240, 2θ 76.88, I = 11
- d 1.235, 2θ 77.28, I = 12

Cell and atoms:
```
3
Lattice="-2.0132 2.0132 4.7220 2.0132 -2.0132 4.7220 2.0132 2.0132 -4.7220" Properties=species:S:1:pos:R:3 pbc="T T T"
Pu 0.0000 0.0000 0.0000
Np 0.0000 0.0000 6.3834
Sb 0.0000 0.0000 3.1893
```